Simulated powder XRD pattern
Compound: Ac2Pu3S8
Radiation: Cu Kα (λ = 1.5418 Å)
Structure: DFT lattice parameters and positions (PBE)
Neutral-atom scattering factors, no anomalous dispersion.

Atomic structure:
Unit cell a=8.557 b=8.557 c=4.803 alpha=90.00 beta=90.00 gamma=110.79
Atoms (fractional coordinates):
Ac 0.233 0.767 0.000
Ac 0.767 0.233 0.000
Pu 0.228 0.228 0.500
Pu 0.500 0.500 0.000
Pu 0.772 0.772 0.500
S 0.116 0.884 0.500
S 0.150 0.379 0.000
S 0.379 0.150 0.000
S 0.390 0.610 0.500
S 0.610 0.390 0.500
S 0.621 0.850 0.000
S 0.850 0.621 0.000
S 0.884 0.116 0.500

Principal peaks in the range 2θ = 10–90°, by intensity:
- 36.65°, I = 100
- 26.08°, I = 48
- 22.40°, I = 43
- 22.22°, I = 41
- 37.45°, I = 26
- 25.29°, I = 25
- 37.00°, I = 24
- 53.65°, I = 21
- 28.12°, I = 21
- 12.57°, I = 17